# 1
This entry pairs a crystal structure of Te2MoWSe2 with its simulated XRD peak list. Radiation: Cu Kα (λ = 1.5418 Å). Structure: DFT lattice parameters and positions (PBE).
Intensities are scaled so that the largest is 100.

Cell and atoms:
Cell lengths 3.4377, 3.4377, 39.1434 Å; angles 90.00, 90.00, 120.00 degrees
Element x y z (fractional)
Te1 0.0000 0.0000 0.0000
Te2 0.0000 0.0000 0.0953
Te3 0.3333 0.6667 0.8124
Te4 0.3333 0.6667 0.9071
Mo1 0.0000 0.0000 0.8597
Mo2 0.3333 0.6667 0.6719
W1 0.0000 0.0000 0.4840
W2 0.3333 0.6667 0.0477
Se1 0.0000 0.0000 0.6301
Se2 0.0000 0.0000 0.7137
Se3 0.3333 0.6667 0.4421
Se4 0.3333 0.6667 0.5259

Principal peaks in the range 2θ = 10–90°, in order of rising 2θ:
d/Å, two_theta, I (rel.), h k l
7.829, 11.30, 100, 0 0 5
2.976, 30.03, 46, 1 0 0
2.543, 35.29, 95, 1 0 8
2.117, 42.71, 60, 0 1 13
2.038, 44.45, 17, 1 0 14
1.719, 53.30, 35, 1 1 0

=====

# 2
This entry pairs a crystal structure of Te3MoWSe with its simulated XRD peak list. Radiation: Cu Kα (λ = 1.5418 Å). Structure: DFT lattice parameters and positions (PBE).
Intensities are scaled so that the largest is 100.

Cell and atoms:
Cell lengths 3.5005, 3.5005, 39.6182 Å; angles 90.00, 90.00, 120.00 degrees
Element x y z (fractional)
Te1 0.0000 0.0000 0.0000
Te2 0.0000 0.0000 0.0924
Te3 0.6667 0.3333 0.1876
Te4 0.6667 0.3333 0.2806
Te5 0.6667 0.3333 0.8118
Te6 0.6667 0.3333 0.9048
Mo1 0.6667 0.3333 0.0462
Mo2 0.6667 0.3333 0.6704
W1 0.0000 0.0000 0.2341
W2 0.0000 0.0000 0.8583
Se1 0.0000 0.0000 0.6296
Se2 0.0000 0.0000 0.7113

Principal peaks in the range 2θ = 10–90°, in order of rising 2θ:
d/Å, two_theta, I (rel.), h k l
7.924, 11.17, 98, 0 0 5
3.030, 29.48, 53, 1 0 0
2.586, 34.69, 100, 1 0 8
2.149, 42.04, 65, 1 0 13
2.069, 43.76, 21, 0 1 14
1.750, 52.28, 41, 1 1 0